Record 1
Diffraction record for Th3Co3Sb4. The powder diffractogram is computed, not measured: it uses DFT lattice parameters and positions (PBE) and Cu Kα, 1.54184 Å.
No peak broadening, texture or thermal motion is included.

Cell and atoms:
```
data_Th3Co3Sb4
_chemical_formula_sum 'Th6 Co6 Sb8'
_symmetry_space_group_name_H-M 'P 1'
_symmetry_Int_Tables_number 1
_cell_length_a 8.3185
_cell_length_b 8.3185
_cell_length_c 8.3185
_cell_angle_alpha 109.47
_cell_angle_beta 109.47
_cell_angle_gamma 109.47
loop_
_symmetry_equiv_pos_as_xyz
'x,y,z'
loop_
_atom_site_label
_atom_site_fract_x
_atom_site_fract_y
_atom_site_fract_z
Th1 0.1250 0.7500 0.8750
Th2 0.2500 0.6250 0.3750
Th3 0.3750 0.2500 0.6250
Th4 0.6250 0.3750 0.2500
Th5 0.7500 0.8750 0.1250
Th6 0.8750 0.1250 0.7500
Co1 0.1250 0.8750 0.2500
Co2 0.2500 0.1250 0.8750
Co3 0.3750 0.6250 0.7500
Co4 0.6250 0.7500 0.3750
Co5 0.7500 0.3750 0.6250
Co6 0.8750 0.2500 0.1250
Sb1 0.0000 0.3407 0.5000
Sb2 0.0000 0.8407 0.5000
Sb3 0.1593 0.1593 0.1593
Sb4 0.3407 0.5000 0.0000
Sb5 0.5000 0.0000 0.3407
Sb6 0.5000 0.0000 0.8407
Sb7 0.6593 0.6593 0.6593
Sb8 0.8407 0.5000 0.0000
```

Most intense lines, 5° ≤ 2θ ≤ 70°, by angle:
2θ/deg, d [Å], I (rel.)
22.7, 3.921, 17
29.4, 3.037, 71
35.0, 2.567, 100
42.1, 2.148, 44
44.2, 2.048, 17
46.3, 1.961, 15
48.3, 1.884, 11
52.2, 1.754, 10
59.3, 1.558, 27
61.0, 1.519, 13
62.7, 1.482, 12
67.6, 1.386, 10

Record 2
Diffraction record for BaAl4. The powder diffractogram is computed, not measured: it uses DFT lattice parameters and positions (PBE) and Cu Kα, 1.54184 Å.
No peak broadening, texture or thermal motion is included.

Cell and atoms:
```
data_BaAl4
_chemical_formula_sum 'Ba1 Al4'
_symmetry_space_group_name_H-M 'P 1'
_symmetry_Int_Tables_number 1
_cell_length_a 6.5342
_cell_length_b 6.5342
_cell_length_c 6.5342
_cell_angle_alpha 139.00
_cell_angle_beta 139.00
_cell_angle_gamma 59.37
loop_
_symmetry_equiv_pos_as_xyz
'x,y,z'
loop_
_atom_site_label
_atom_site_fract_x
_atom_site_fract_y
_atom_site_fract_z
Ba1 0.0000 0.0000 0.0000
Al1 0.2500 0.7500 0.5000
Al2 0.3811 0.3811 0.0000
Al3 0.6189 0.6189 0.0000
Al4 0.7500 0.2500 0.5000
```

Most intense lines, 5° ≤ 2θ ≤ 70°, by angle:
2θ/deg, d [Å], I (rel.)
15.6, 5.677, 23
20.9, 4.245, 64
27.6, 3.236, 35
30.7, 2.916, 84
31.8, 2.811, 100
39.4, 2.288, 44
44.5, 2.034, 33
45.0, 2.014, 18
50.7, 1.800, 40
56.3, 1.633, 16
60.9, 1.520, 26
66.7, 1.402, 23

Record 3
Diffraction record for CdFeP2S6. The powder diffractogram is computed, not measured: it uses DFT lattice parameters and positions (PBE) and Cu Kα, 1.54184 Å.
No peak broadening, texture or thermal motion is included.

Cell and atoms:
```
data_CdFeP2S6
_chemical_formula_sum 'Cd1 Fe1 P2 S6'
_symmetry_space_group_name_H-M 'P 1'
_symmetry_Int_Tables_number 1
_cell_length_a 6.1358
_cell_length_b 6.1358
_cell_length_c 7.0905
_cell_angle_alpha 98.35
_cell_angle_beta 98.35
_cell_angle_gamma 120.04
loop_
_symmetry_equiv_pos_as_xyz
'x,y,z'
loop_
_atom_site_label
_atom_site_fract_x
_atom_site_fract_y
_atom_site_fract_z
Cd1 0.0000 0.0000 0.0000
Fe1 0.3455 0.6545 0.0000
P1 0.6148 0.2810 0.8355
P2 0.7190 0.3852 0.1645
S1 0.0829 0.4426 0.2437
S2 0.2792 0.2836 0.7569
S3 0.4359 0.0741 0.2381
S4 0.5574 0.9171 0.7563
S5 0.7164 0.7208 0.2431
S6 0.9259 0.5641 0.7619
```

Most intense lines, 5° ≤ 2θ ≤ 70°, by angle:
2θ/deg, d [Å], I (rel.)
13.0, 6.785, 100
21.2, 4.184, 8
24.2, 3.671, 8
27.6, 3.234, 10
29.4, 3.033, 46
31.3, 2.860, 11
34.1, 2.630, 32
34.1, 2.626, 57
36.7, 2.450, 11
46.3, 1.960, 17
51.6, 1.771, 28
53.5, 1.713, 14

Record 4
Diffraction record for Ba11Cu5Bi8O29. The powder diffractogram is computed, not measured: it uses DFT lattice parameters and positions (PBE) and Cu Kα, 1.54184 Å.
No peak broadening, texture or thermal motion is included.

Cell and atoms:
```
data_Ba11Cu5Bi8O29
_chemical_formula_sum 'Ba11 Cu5 Bi8 O29'
_symmetry_space_group_name_H-M 'P 1'
_symmetry_Int_Tables_number 1
_cell_length_a 14.2728
_cell_length_b 14.2728
_cell_length_c 12.6855
_cell_angle_alpha 90.04
_cell_angle_beta 90.04
_cell_angle_gamma 21.35
loop_
_symmetry_equiv_pos_as_xyz
'x,y,z'
loop_
_atom_site_label
_atom_site_fract_x
_atom_site_fract_y
_atom_site_fract_z
Ba1 0.0000 0.0000 0.0000
Ba2 0.0654 0.0654 0.4527
Ba3 0.1362 0.1362 0.8514
Ba4 0.3007 0.3007 0.9499
Ba5 0.3988 0.3988 0.3436
Ba6 0.4704 0.4704 0.7678
Ba7 0.5296 0.5296 0.2322
Ba8 0.6012 0.6012 0.6564
Ba9 0.6993 0.6993 0.0501
Ba10 0.8638 0.8638 0.1486
Ba11 0.9346 0.9346 0.5473
Cu1 0.0301 0.0301 0.7139
Cu2 0.4330 0.4330 0.0800
Cu3 0.5000 0.5000 0.5000
Cu4 0.5670 0.5670 0.9200
Cu5 0.9699 0.9699 0.2861
Bi1 0.1224 0.1224 0.1781
Bi2 0.2035 0.2035 0.5748
Bi3 0.2485 0.2485 0.2654
Bi4 0.3353 0.3353 0.6315
Bi5 0.6647 0.6647 0.3685
Bi6 0.7515 0.7515 0.7346
Bi7 0.7965 0.7965 0.4252
Bi8 0.8776 0.8776 0.8219
O1 0.0531 0.0531 0.2409
O2 0.0960 0.0960 0.0291
O3 0.1333 0.1333 0.6278
O4 0.1821 0.1821 0.3648
O5 0.1858 0.7088 0.1874
O6 0.2235 0.2235 0.0953
O7 0.2356 0.7281 0.3966
O8 0.2393 0.2393 0.7363
O9 0.2719 0.7644 0.6034
O10 0.2912 0.8142 0.8126
O11 0.2989 0.2989 0.4201
O12 0.3644 0.3644 0.1018
O13 0.3654 0.3654 0.7910
O14 0.4034 0.4034 0.5667
O15 0.5000 0.5000 0.0000
O16 0.5966 0.5966 0.4333
O17 0.6346 0.6346 0.2090
O18 0.6356 0.6356 0.8982
O19 0.7011 0.7011 0.5799
O20 0.7088 0.1858 0.1874
O21 0.7281 0.2356 0.3966
O22 0.7607 0.7607 0.2637
O23 0.7644 0.2719 0.6034
O24 0.7765 0.7765 0.9047
O25 0.8142 0.2912 0.8126
O26 0.8179 0.8179 0.6352
O27 0.8667 0.8667 0.3722
O28 0.9040 0.9040 0.9709
O29 0.9469 0.9469 0.7591
```

Most intense lines, 5° ≤ 2θ ≤ 70°, by angle:
2θ/deg, d [Å], I (rel.)
24.2, 3.682, 18
27.2, 3.281, 43
28.7, 3.115, 70
28.8, 3.097, 100
29.1, 3.070, 27
31.0, 2.889, 41
33.9, 2.644, 55
35.0, 2.566, 18
45.3, 2.003, 19
46.6, 1.950, 31
53.8, 1.703, 23
57.5, 1.602, 25

Record 5
Diffraction record for Al2O3. The powder diffractogram is computed, not measured: it uses DFT lattice parameters and positions (PBE) and Cu Kα, 1.54184 Å.
No peak broadening, texture or thermal motion is included.

Cell and atoms:
```
data_Al2O3
_chemical_formula_sum 'Al2 O3'
_symmetry_space_group_name_H-M 'P 1'
_symmetry_Int_Tables_number 1
_cell_length_a 3.0175
_cell_length_b 3.0175
_cell_length_c 7.5746
_cell_angle_alpha 90.00
_cell_angle_beta 90.00
_cell_angle_gamma 120.00
loop_
_symmetry_equiv_pos_as_xyz
'x,y,z'
loop_
_atom_site_label
_atom_site_fract_x
_atom_site_fract_y
_atom_site_fract_z
Al1 0.0000 0.0000 0.2220
Al2 0.0000 0.0000 0.7780
O1 0.0000 0.0000 0.0000
O2 0.3333 0.6667 0.6995
O3 0.6667 0.3333 0.3005
```

Most intense lines, 5° ≤ 2θ ≤ 70°, by angle:
2θ/deg, d [Å], I (rel.)
11.7, 7.575, 37
23.5, 3.787, 100
34.3, 2.613, 82
35.6, 2.525, 2
36.4, 2.470, 81
42.0, 2.151, 24
48.0, 1.894, 15
50.2, 1.816, 15
60.4, 1.533, 32
61.5, 1.509, 44
62.8, 1.480, 2
66.7, 1.402, 27

Record 6
Diffraction record for Tb2HfAl9. The powder diffractogram is computed, not measured: it uses DFT lattice parameters and positions (PBE) and Cu Kα, 1.54184 Å.
No peak broadening, texture or thermal motion is included.

Cell and atoms:
```
data_Tb2HfAl9
_chemical_formula_sum 'Tb2 Hf1 Al9'
_symmetry_space_group_name_H-M 'P 1'
_symmetry_Int_Tables_number 1
_cell_length_a 4.2176
_cell_length_b 4.2176
_cell_length_c 12.6105
_cell_angle_alpha 90.00
_cell_angle_beta 90.00
_cell_angle_gamma 90.00
loop_
_symmetry_equiv_pos_as_xyz
'x,y,z'
loop_
_atom_site_label
_atom_site_fract_x
_atom_site_fract_y
_atom_site_fract_z
Tb1 0.0000 0.0000 0.1714
Tb2 0.0000 0.0000 0.8286
Hf1 0.0000 0.0000 0.5000
Al1 0.0000 0.5000 0.0000
Al2 0.0000 0.5000 0.3421
Al3 0.0000 0.5000 0.6579
Al4 0.5000 0.0000 0.0000
Al5 0.5000 0.0000 0.3421
Al6 0.5000 0.0000 0.6579
Al7 0.5000 0.5000 0.1678
Al8 0.5000 0.5000 0.5000
Al9 0.5000 0.5000 0.8322
```

Most intense lines, 5° ≤ 2θ ≤ 70°, by angle:
2θ/deg, d [Å], I (rel.)
21.1, 4.213, 96
30.0, 2.979, 81
37.0, 2.432, 100
42.9, 2.109, 33
43.0, 2.102, 16
48.3, 1.886, 30
48.4, 1.881, 14
53.3, 1.720, 33
62.3, 1.491, 11
62.4, 1.489, 21
66.5, 1.406, 9
66.6, 1.404, 11

Record 7
Diffraction record for Mg2Si. The powder diffractogram is computed, not measured: it uses DFT lattice parameters and positions (PBE) and Cu Kα, 1.54184 Å.
No peak broadening, texture or thermal motion is included.

Cell and atoms:
```
data_Mg2Si
_chemical_formula_sum 'Mg8 Si4'
_symmetry_space_group_name_H-M 'P 1'
_symmetry_Int_Tables_number 1
_cell_length_a 6.1424
_cell_length_b 4.6216
_cell_length_c 7.9743
_cell_angle_alpha 90.00
_cell_angle_beta 90.00
_cell_angle_gamma 90.00
loop_
_symmetry_equiv_pos_as_xyz
'x,y,z'
loop_
_atom_site_label
_atom_site_fract_x
_atom_site_fract_y
_atom_site_fract_z
Mg1 0.0045 0.2500 0.2419
Mg2 0.2338 0.2500 0.5823
Mg3 0.2662 0.7500 0.0823
Mg4 0.4955 0.7500 0.7419
Mg5 0.5045 0.2500 0.2581
Mg6 0.7338 0.2500 0.9177
Mg7 0.7662 0.7500 0.4177
Mg8 0.9955 0.7500 0.7581
Si1 0.2414 0.2500 0.9163
Si2 0.2586 0.7500 0.4163
Si3 0.7414 0.2500 0.5837
Si4 0.7586 0.7500 0.0837
```

Most intense lines, 5° ≤ 2θ ≤ 70°, by angle:
2θ/deg, d [Å], I (rel.)
29.1, 3.071, 14
35.1, 2.558, 2
36.9, 2.436, 100
36.9, 2.433, 50
39.0, 2.311, 50
39.1, 2.304, 98
49.4, 1.844, 18
54.8, 1.676, 31
54.9, 1.672, 15
60.3, 1.536, 12
69.2, 1.357, 15
69.4, 1.354, 28